[1]
Diffraction record for MnPd2Au9. The powder X-ray diffraction pattern is calculated, not measured: it uses a cell relaxed with GGA-PBE and CuKα.

Structure:
```
12
Lattice="4.155 0.000 0.000 0.000 4.155 0.000 0.000 0.000 12.020" Properties=species:S:1:pos:R:3 pbc="T T T"
Mn 0.000 0.000 0.000
Pd 0.000 0.000 4.004
Pd 0.000 0.000 8.016
Au 0.000 2.078 1.984
Au 0.000 2.078 6.010
Au 0.000 2.078 10.036
Au 2.078 0.000 1.984
Au 2.078 0.000 6.010
Au 2.078 0.000 10.036
Au 2.078 2.078 0.000
Au 2.078 2.078 4.005
Au 2.078 2.078 8.015
```

Most intense lines, 15° ≤ 2θ ≤ 90°, sorted by position:
2theta  I (rel.)
37.97  100.0
43.56  34.2
45.27  15.3
64.63  21.3
76.26  26.8
78.70  12.3

***

[2]
Diffraction record for TlCr3P. The powder X-ray diffraction pattern is calculated, not measured: it uses a cell relaxed with GGA-PBE and CuKα.

Structure:
```
5
Lattice="4.268 0.000 0.000 0.000 4.268 0.000 0.000 0.000 4.268" Properties=species:S:1:pos:R:3 pbc="T T T"
Tl 0.000 0.000 0.000
Cr 0.000 2.134 2.134
Cr 2.134 0.000 2.134
Cr 2.134 2.134 0.000
P 2.134 2.134 2.134
```

Most intense lines, 15° ≤ 2θ ≤ 90°, sorted by position:
2theta  I (rel.)
20.81  33.4
29.60  73.4
36.46  100.0
42.36  68.2
61.45  43.3
73.61  35.6

***

[3]
Diffraction record for HoZrCu. The powder X-ray diffraction pattern is calculated, not measured: it uses a cell relaxed with GGA-PBE and CuKα.

Structure:
```
12
Lattice="3.412 0.000 0.000 0.000 17.357 0.000 0.000 0.000 4.408" Properties=species:S:1:pos:R:3 pbc="T T T"
Ho 0.000 1.676 1.102
Ho 0.000 15.681 3.306
Ho 1.706 7.002 3.306
Ho 1.706 10.355 1.102
Zr 0.000 4.991 1.102
Zr 0.000 12.366 3.306
Zr 1.706 3.687 3.306
Zr 1.706 13.670 1.102
Cu 0.000 7.949 1.102
Cu 0.000 9.408 3.306
Cu 1.706 0.730 3.306
Cu 1.706 16.628 1.102
```

Most intense lines, 15° ≤ 2θ ≤ 90°, sorted by position:
2theta  I (rel.)
33.62  100.0
36.75  35.9
36.94  66.8
37.17  53.5
40.94  37.7
56.32  39.0

***

[4]
Diffraction record for Na4Pb2Br9. The powder X-ray diffraction pattern is calculated, not measured: it uses a cell relaxed with GGA-PBE and CuKα.

Structure:
```
30
Lattice="7.544 0.000 0.000 -3.772 6.534 0.000 0.000 0.000 20.336" Properties=species:S:1:pos:R:3 pbc="T T T"
Na 0.000 4.356 3.648
Na 0.000 4.356 9.848
Na 0.000 4.356 13.816
Na 0.000 4.356 20.016
Na 3.772 2.178 0.320
Na 3.772 2.178 6.520
Na 3.772 2.178 10.488
Na 3.772 2.178 16.688
Pb 0.000 0.000 3.042
Pb 0.000 0.000 7.126
Pb 0.000 0.000 13.211
Pb 0.000 0.000 17.294
Br -1.154 1.999 5.084
Br -2.618 4.534 15.252
Br -1.150 2.341 11.868
Br -2.320 4.367 1.700
Br 2.309 0.000 5.084
Br 1.154 1.999 15.252
Br 1.150 2.341 1.700
Br -1.170 6.359 11.868
Br 2.602 0.175 18.637
Br 1.452 2.166 8.468
Br 2.320 4.367 11.868
Br 1.170 6.359 1.700
Br 4.942 0.175 8.468
Br 2.622 4.193 18.637
Br 5.236 0.000 15.252
Br 2.618 4.534 5.084
Br 6.092 2.166 18.637
Br 4.922 4.193 8.468
```

Most intense lines, 15° ≤ 2θ ≤ 90°, sorted by position:
2theta  I (rel.)
22.15  39.8
27.05  100.0
32.58  28.9
35.61  73.1
41.46  56.5
46.84  34.7